Record 1
The following is a simulated PXRD pattern of LaNbB2O8. It was derived from a GGA-PBE-relaxed structure, using Cu Kα (λ = 1.5418 Å).
Intensities are scaled so that the largest is 100.

```
12
Lattice="5.0161 0.0000 0.0000 -2.5080 4.3441 0.0000 0.0000 0.0000 6.7838" Properties=species:S:1:pos:R:3 pbc="T T T"
La 0.0000 0.0000 0.0000
Nb 0.0000 0.0000 3.3919
B 0.0000 2.8960 1.6464
B 2.5081 1.4480 5.1374
O 0.0000 1.5183 2.1149
O -1.1932 3.5849 2.1149
O 0.0000 2.8960 0.1719
O 1.3148 0.7591 4.6689
O 1.1932 3.5849 2.1149
O 2.5081 1.4480 6.6118
O 3.7012 0.7591 4.6689
O 2.5080 2.8258 4.6689
```

The 10 most intense peaks (10 to 90 degrees two-theta), low angle first:
4.344 Å, I = 100
3.392 Å, I = 11
2.673 Å, I = 57
2.508 Å, I = 32
2.017 Å, I = 38
1.829 Å, I = 27
1.642 Å, I = 15
1.580 Å, I = 12
1.478 Å, I = 17
1.405 Å, I = 11

Record 2
The following is a simulated PXRD pattern of Rb2SiHBr6. It was derived from a GGA-PBE-relaxed structure, using Cu Kα (λ = 1.5418 Å).
Intensities are scaled so that the largest is 100.

```
10
Lattice="-3.7652 3.7652 5.3760 3.7652 -3.7652 5.3760 3.7652 3.7652 -5.3760" Properties=species:S:1:pos:R:3 pbc="T T T"
Rb 3.7652 0.0000 2.6880
Rb 0.0000 3.7652 2.6880
Si 0.0000 0.0000 0.0000
H 0.0000 0.0000 5.3760
Br 0.0000 0.0000 2.4421
Br 1.7259 1.7259 0.0000
Br 2.0394 -2.0394 5.3760
Br -2.0394 2.0394 5.3760
Br 2.0394 2.0394 5.3760
Br 0.0000 0.0000 8.3099
```

The 10 most intense peaks (10 to 90 degrees two-theta), low angle first:
6.168 Å, I = 13
3.084 Å, I = 100
2.688 Å, I = 20
2.662 Å, I = 40
1.892 Å, I = 26
1.883 Å, I = 13
1.618 Å, I = 12
1.607 Å, I = 24
1.542 Å, I = 12
1.227 Å, I = 8

Record 3
The following is a simulated PXRD pattern of TbSm2Au. It was derived from a GGA-PBE-relaxed structure, using Cu Kα (λ = 1.5418 Å).
Intensities are scaled so that the largest is 100.

```
16
Lattice="7.0776 0.0000 0.0000 0.0000 10.0131 0.0000 0.0000 0.0000 6.7311" Properties=species:S:1:pos:R:3 pbc="T T T"
Tb 0.1071 2.5033 0.8500
Tb 3.4317 7.5098 4.2156
Tb 3.6460 2.5033 2.5155
Tb 6.9705 7.5098 5.8811
Sm 1.3803 0.5453 4.6228
Sm 1.3803 4.4613 4.6228
Sm 2.1585 5.5518 1.2573
Sm 2.1585 9.4678 1.2573
Sm 4.9191 0.5453 5.4738
Sm 4.9191 4.4613 5.4738
Sm 5.6973 5.5518 2.1083
Sm 5.6973 9.4678 2.1083
Au 0.6861 7.5098 3.0563
Au 2.8527 2.5033 6.4219
Au 4.2249 7.5098 0.3092
Au 6.3915 2.5033 3.6748
```

The 10 most intense peaks (10 to 90 degrees two-theta), low angle first:
2.990 Å, I = 94
2.908 Å, I = 92
2.890 Å, I = 100
2.793 Å, I = 60
2.755 Å, I = 49
2.655 Å, I = 44
2.598 Å, I = 38
2.503 Å, I = 36
2.428 Å, I = 39
1.672 Å, I = 44

Record 4
The following is a simulated PXRD pattern of Ba2Zn2Cd3. It was derived from a GGA-PBE-relaxed structure, using Cu Kα (λ = 1.5418 Å).
Intensities are scaled so that the largest is 100.

```
7
Lattice="6.0721 -2.3059 0.0000 6.0721 2.3059 0.0000 -4.0893 0.0000 7.2181" Properties=species:S:1:pos:R:3 pbc="T T T"
Ba 0.5312 0.0000 1.9181
Ba 7.5238 0.0000 5.3001
Zn -1.1521 0.0000 5.0432
Zn 9.2070 0.0000 2.1750
Cd 4.0632 0.0000 0.4859
Cd 4.0275 0.0000 3.6091
Cd 3.9917 0.0000 6.7322
```

The 10 most intense peaks (10 to 90 degrees two-theta), low angle first:
3.369 Å, I = 27
3.059 Å, I = 35
3.042 Å, I = 100
2.928 Å, I = 28
2.808 Å, I = 57
2.763 Å, I = 47
2.642 Å, I = 32
2.511 Å, I = 92
2.306 Å, I = 53
1.770 Å, I = 46

Record 5
The following is a simulated PXRD pattern of LiCd5Ni. It was derived from a GGA-PBE-relaxed structure, using Cu Kα (λ = 1.5418 Å).
Intensities are scaled so that the largest is 100.

```
14
Lattice="3.6605 -3.6602 0.0000 3.6605 3.6602 0.0000 -1.9080 0.0000 10.4378" Properties=species:S:1:pos:R:3 pbc="T T T"
Li 2.2295 2.6130 7.8283
Li 3.1835 -2.6130 2.6094
Cd -0.1188 1.2648 9.0700
Cd 0.0932 0.8975 5.9315
Cd 1.0472 -0.8975 0.7126
Cd 0.8352 -1.2648 3.8511
Cd 3.1835 0.1263 2.6094
Cd 2.2295 -0.1263 7.8283
Cd 4.5777 1.2648 6.5867
Cd 4.3657 0.8975 9.7251
Cd 5.3197 -0.8975 4.5063
Cd 5.5317 -1.2648 1.3678
Ni 3.6605 0.0000 0.0000
Ni 2.7065 0.0000 5.2189
```

The 10 most intense peaks (10 to 90 degrees two-theta), low angle first:
3.452 Å, I = 62
2.723 Å, I = 56
2.569 Å, I = 100
2.522 Å, I = 70
2.320 Å, I = 77
2.312 Å, I = 71
2.281 Å, I = 68
2.214 Å, I = 48
2.205 Å, I = 31
2.125 Å, I = 28

Record 6
The following is a simulated PXRD pattern of La3Al2Ga3. It was derived from a GGA-PBE-relaxed structure, using Cu Kα (λ = 1.5418 Å).
Intensities are scaled so that the largest is 100.

```
16
Lattice="2.1880 -5.8411 0.0000 2.1880 5.8411 0.0000 0.0000 0.0000 16.0152" Properties=species:S:1:pos:R:3 pbc="T T T"
La 2.1880 5.2492 12.0114
La 2.1880 1.7006 9.5282
La 2.1880 1.7006 14.4946
La 2.1880 -1.7006 1.5206
La 2.1880 -1.7006 6.4870
La 2.1880 -5.2492 4.0038
Al 2.1880 1.7235 1.8708
Al 2.1880 1.7235 6.1368
Al 2.1880 -1.7235 9.8784
Al 2.1880 -1.7235 14.1444
Ga 2.1880 4.9012 8.8229
Ga 2.1880 4.9012 15.1999
Ga 2.1880 3.2642 4.0038
Ga 2.1880 -3.2642 12.0114
Ga 2.1880 -4.9012 0.8153
Ga 2.1880 -4.9012 7.1923
```

The 10 most intense peaks (10 to 90 degrees two-theta), low angle first:
3.941 Å, I = 17
3.251 Å, I = 53
2.909 Å, I = 35
2.873 Å, I = 21
2.863 Å, I = 100
2.669 Å, I = 31
2.188 Å, I = 30
2.155 Å, I = 44
1.967 Å, I = 17
1.347 Å, I = 18

Record 7
The following is a simulated PXRD pattern of Na4CdBr6. It was derived from a GGA-PBE-relaxed structure, using Cu Kα (λ = 1.5418 Å).
Intensities are scaled so that the largest is 100.

```
22
Lattice="6.9999 -4.0920 0.0000 6.9999 4.0920 0.0000 -5.2270 0.0000 13.1902" Properties=species:S:1:pos:R:3 pbc="T T T"
Na -0.7252 1.3072 10.9672
Na 4.3864 3.1919 6.5951
Na 5.4735 0.9369 2.1851
Na 1.8883 -1.3072 4.3721
Na 3.6837 0.9232 12.5968
Na 2.8601 -0.9369 8.7802
Na 6.2972 -0.9232 6.0017
Na 6.9999 -3.1919 0.0000
Cd 6.0592 1.6660 9.6916
Cd 8.6727 -1.6660 3.0965
Br 1.8776 1.7677 5.6331
Br 1.1426 2.1904 12.9877
Br 2.6166 0.2948 1.8683
Br 0.0031 -0.2948 8.4634
Br 3.4725 1.8788 9.1813
Br 6.2069 1.7355 4.8437
Br -0.7359 -1.7677 12.2282
Br 9.5764 0.6189 2.3096
Br 3.7561 -2.1904 6.3926
Br 6.0860 -1.8788 2.5862
Br 3.5935 -1.7355 11.4388
Br 6.9629 -0.6189 8.9047
```

The 10 most intense peaks (10 to 90 degrees two-theta), low angle first:
6.698 Å, I = 44
4.093 Å, I = 100
4.051 Å, I = 53
3.471 Å, I = 92
3.421 Å, I = 37
3.349 Å, I = 56
3.298 Å, I = 41
3.254 Å, I = 42
2.047 Å, I = 38
2.024 Å, I = 51

Record 8
The following is a simulated PXRD pattern of PmYAlPt. It was derived from a GGA-PBE-relaxed structure, using Cu Kα (λ = 1.5418 Å).
Intensities are scaled so that the largest is 100.

```
4
Lattice="0.0000 3.6111 3.6111 3.6111 0.0000 3.6111 3.6111 3.6111 0.0000" Properties=species:S:1:pos:R:3 pbc="T T T"
Pm 0.0000 0.0000 0.0000
Y 3.6111 3.6111 3.6111
Al 1.8056 1.8056 1.8056
Pt 5.4167 5.4167 5.4167
```

The 10 most intense peaks (10 to 90 degrees two-theta), low angle first:
4.170 Å, I = 33
2.553 Å, I = 100
2.178 Å, I = 19
1.806 Å, I = 18
1.657 Å, I = 8
1.474 Å, I = 37
1.390 Å, I = 6
1.277 Å, I = 11
1.221 Å, I = 6
1.142 Å, I = 16

What is the formula in the eighth record? PmYAlPt